The following is a calculated powder diffraction line list of LiMn4O8. It was derived from DFT lattice parameters and positions (PBE+U), using CuKα.

Principal peaks in the range 2θ from 15° to 90°, in order of rising 2θ:
| 2theta | I/Imax |
| --- | --- |
| 17.44 | 100 |
| 36.54 | 17 |
| 36.76 | 9 |
| 43.24 | 29 |
| 43.84 | 14 |
| 47.34 | 4 |
| 55.83 | 10 |
| 56.67 | 5 |
| 61.52 | 7 |
| 64.99 | 7 |

Crystal structure
```
data_LiMn4O8
_chemical_formula_sum 'Li2 Mn8 O16'
_symmetry_space_group_name_H-M 'C 1 2/m 1'
_symmetry_Int_Tables_number 12
_cell_length_a 9.9377
_cell_length_b 5.7495
_cell_length_c 6.1182
_cell_angle_alpha 90.00
_cell_angle_beta 123.78
_cell_angle_gamma 90.00
loop_
_symmetry_equiv_pos_as_xyz
'x,y,z'
'-x,-y,-z'
'-x,y,-z'
'x,-y,z'
'x+1/2,y+1/2,z'
'-x+1/2,-y+1/2,-z'
'-x+1/2,y+1/2,-z'
'x+1/2,-y+1/2,z'
loop_
_atom_site_label
_atom_site_fract_x
_atom_site_fract_y
_atom_site_fract_z
Li1 0.0000 0.0000 0.0000
Mn1 0.0000 0.0000 0.5000
Mn2 0.0000 0.5000 0.5000
Mn3 0.2500 0.2500 0.5000
O1 0.0175 0.2465 0.3032
O2 0.2316 0.0000 0.6902
O3 0.2364 0.5000 0.6973
```

The following is a calculated powder diffraction line list of BaCoSe2O6. It was derived from DFT lattice parameters and positions (PBE+U), using CuKα.

Principal peaks in the range 2θ from 15° to 90°, in order of rising 2θ:
| 2theta | I/Imax |
| --- | --- |
| 21.16 | 21 |
| 24.92 | 45 |
| 26.61 | 100 |
| 29.73 | 58 |
| 30.83 | 79 |
| 31.43 | 28 |
| 31.59 | 28 |
| 32.23 | 51 |
| 35.58 | 31 |
| 40.71 | 25 |

Crystal structure
```
data_BaCoSe2O6
_chemical_formula_sum 'Ba4 Co4 Se8 O24'
_symmetry_space_group_name_H-M 'P n m a'
_symmetry_Int_Tables_number 62
_cell_length_a 15.3442
_cell_length_b 5.5556
_cell_length_c 7.3481
_cell_angle_alpha 90.00
_cell_angle_beta 90.00
_cell_angle_gamma 90.00
loop_
_symmetry_equiv_pos_as_xyz
'x,y,z'
'-x,-y,-z'
'-x+1/2,-y,z+1/2'
'x+1/2,y,-z+1/2'
'x+1/2,-y+1/2,-z+1/2'
'-x+1/2,y+1/2,z+1/2'
'-x,y+1/2,-z'
'x,-y+1/2,z'
loop_
_atom_site_label
_atom_site_fract_x
_atom_site_fract_y
_atom_site_fract_z
Ba1 0.1175 0.2500 0.0786
Co1 0.1246 0.7500 0.7065
Se1 0.0157 0.2500 0.6280
Se2 0.2314 0.2500 0.5344
O1 0.0250 0.0106 0.7799
O2 0.0929 0.7500 0.4289
O3 0.1572 0.7500 0.9877
O4 0.2260 0.0073 0.6812
```